For Zr3Cl5, a DFT-relaxed cell (GGA-PBE, Alexandria) gives the theoretical PXRD pattern in this record (copper Kα).

Atomic structure:
Lattice parameters (Å, degrees): 9.2349 11.1551 3.1901 90.00 90.00 90.00
Fractional coordinates of all 16 atoms:
Zr  0.0000  0.0000  0.0000
Zr  0.0000  0.2872  0.5000
Zr  0.0000  0.7128  0.5000
Zr  0.5000  0.2128  0.5000
Zr  0.5000  0.5000  0.0000
Zr  0.5000  0.7872  0.5000
Cl  0.0000  0.5000  0.0000
Cl  0.2140  0.0000  0.5000
Cl  0.2500  0.2500  0.0000
Cl  0.2500  0.7500  0.0000
Cl  0.2860  0.5000  0.5000
Cl  0.5000  0.0000  0.0000
Cl  0.7140  0.5000  0.5000
Cl  0.7500  0.2500  0.0000
Cl  0.7500  0.7500  0.0000
Cl  0.7860  0.0000  0.5000

Principal peaks in the range 10 to 90 degrees two-theta, by intensity:
2theta	intensity	index
37.89	100	2 2 1
32.10	31	0 4 0
25.83	27	1 3 0
19.22	23	2 0 0
39.01	22	4 0 0
58.76	15	3 5 1
51.38	13	4 4 0
69.93	11	6 2 1
41.58	10	3 1 1
50.92	10	1 5 1
61.08	10	2 6 1
32.33	9	0 2 1


For ZrCl3, a DFT-relaxed cell (GGA-PBE, Alexandria) gives the theoretical PXRD pattern in this record (copper Kα).

Atomic structure:
Lattice parameters (Å, degrees): 7.0706 7.0706 6.0747 90.00 90.00 120.00
Fractional coordinates of all 8 atoms:
Zr  0.0000  0.0000  0.0000
Zr  0.0000  0.0000  0.5000
Cl  0.0000  0.2922  0.2500
Cl  0.0000  0.7078  0.7500
Cl  0.2922  0.0000  0.2500
Cl  0.2922  0.2922  0.7500
Cl  0.7078  0.0000  0.7500
Cl  0.7078  0.7078  0.2500

Principal peaks in the range 10 to 90 degrees two-theta, by intensity:
2theta	intensity	index
14.47	100	1 0 0
29.21	30	1 1 1
39.10	26	1 1 2
41.90	15	2 0 2
49.52	15	2 1 2
44.38	14	3 0 0
32.92	12	1 0 2
54.00	10	3 1 0
38.91	8	2 1 0
74.41	6	3 2 2
60.61	6	2 2 2
78.50	5	3 0 4